Calculated powder diffraction line list of KBa3Ga5Se10Cl2 for CuKα, from a crystal structure in Alexandria, relaxed with PBE.

Main lines, by angle (2θ = 10–90°):
d 7.742, I = 27, (0 1 0); d 3.843, I = 16, (1 -2 0); d 3.180, I = 100, (2 -1 1); d 3.144, I = 65, (1 2 -3); d 3.123, I = 52, (-2 1 2); d 2.785, I = 15, (3 1 -2); d 1.980, I = 18, (2 4 -3); d 1.971, I = 16, (-4 2 1); d 1.921, I = 18, (1 -3 4); d 1.889, I = 16, (3 1 -5)

Cell and atoms:
```
21
Lattice="8.8017 0.0000 0.0000 -0.0058 8.8712 0.0000 -4.2221 -4.4249 7.8723" Properties=species:S:1:pos:R:3 pbc="T T T"
K 0.0000 0.0000 0.0000
Ba -0.9884 5.4305 4.2381
Ba -1.9205 0.2261 7.8459
Ba 3.2285 -1.0003 4.2582
Ga -1.5214 1.5370 3.3919
Ga 1.2879 2.3974 6.0432
Ga 4.6691 0.6769 0.8201
Ga 3.9355 3.2599 3.4720
Ga 6.3509 4.0633 0.6657
Se -0.5296 3.1378 1.8223
Se 0.1422 0.5641 4.8778
Se -0.5595 3.4216 7.2657
Se 2.8099 1.5789 2.1231
Se 0.9769 -1.9673 7.1287
Se 2.2587 4.2992 4.8870
Se 4.7794 5.1708 2.1938
Se 3.1808 1.2195 7.0425
Se 6.2972 -0.3730 2.2840
Se 5.7573 2.6236 4.9320
Cl -3.1489 -2.0036 5.9961
Cl 1.1320 6.6899 2.1962
```